1.
# Sr2BBrN2
Calculated powder XRD pattern, Cu Kα X-rays. Input: DFT lattice parameters and positions (GGA-PBE).
Lines closer than 0.1° are merged.

Cell: 4.1433 4.1433 26.9028 Å, 90.00 90.00 120.00°
Space group R-3m (No. 166, hexagonal axes)
Symmetry-distinct sites (fractional):
Sr: 0.0000 0.0000 0.2476 x6
B: 0.0000 0.0000 0.5000 x3
Br: 0.0000 0.0000 0.0000 x3
N: 0.0000 0.0000 0.4498 x6

Peak list (10 most intense, 15 to 90 degrees two-theta, in order of falling intensity)
index, 2θ (°), I (rel.)
1 0 4, 28.19, 100
0 1 8, 36.62, 38
1 1 0, 43.69, 33
1 0 16, 60.87, 28
0 2 4, 52.81, 16
0 0 9, 29.91, 14
2 1 4, 70.88, 13
2 0 8, 58.29, 10
0 0 12, 40.23, 10
1 2 8, 75.60, 10



2.
# Tb10Nd4Th
Calculated powder XRD pattern, Cu Kα X-rays. Input: DFT lattice parameters and positions (GGA-PBE).
Lines closer than 0.1° are merged.

Cell: 9.7591 9.7591 10.6192 Å, 90.00 90.00 90.00°
Space group I4/m (No. 87)
Symmetry-distinct sites (fractional):
Tb: 0.0000 0.5000 0.2500 x4
Tb: 0.1162 0.2078 0.1606 x16
Nd: 0.0617 0.3318 0.5000 x8
Th: 0.0000 0.0000 0.5000 x2

Peak list (10 most intense, 15 to 90 degrees two-theta, in order of falling intensity)
index, 2θ (°), I (rel.)
3 1 2, 33.59, 100
1 0 3, 26.79, 97
3 0 1, 28.70, 96
3 1 0, 28.93, 95
2 1 3, 32.57, 73
3 2 1, 34.19, 43
2 3 3, 42.02, 38
2 4 2, 44.91, 34
2 4 0, 41.38, 33
2 0 4, 38.61, 31



3.
# Ce3FeCo
Calculated powder XRD pattern, Cu Kα X-rays. Input: DFT lattice parameters and positions (GGA-PBE).
Lines closer than 0.1° are merged.

Cell: 4.3013 6.2413 7.9317 Å, 92.08 91.42 109.24°
Space group P-1 (No. 2)
Symmetry-distinct sites (fractional):
Ce: 0.2394 0.2373 0.2478 x2
Ce: 0.2495 0.7200 0.0417 x2
Ce: 0.2564 0.7775 0.4573 x2
Fe: 0.2207 0.0524 0.7758 x2
Co: 0.2444 0.4372 0.7159 x2

Peak list (10 most intense, 15 to 90 degrees two-theta, in order of falling intensity)
index, 2θ (°), I (rel.)
-1 1 2, 31.61, 100
1 -2 1, 32.92, 60
1 -1 2, 31.82, 54
1 1 2, 39.26, 53
2 0 0, 44.66, 46
0 1 -3, 36.64, 44
0 2 0, 30.37, 44
1 1 -2, 37.31, 30
1 2 -1, 44.48, 28
0 0 4, 45.83, 20